# 1
# Y10Ga3Co7
Computed powder X-ray diffraction pattern, Cu Kα (λ = 1.5418 Å). Input: a crystal structure in the Materials Project, relaxed with PBE.
Peak positions follow from Bragg's law for the DFT cell and can differ from measured ones.

Most intense lines, 15° ≤ 2θ ≤ 90°, in order of rising 2θ:
2theta	I (rel.)
31.63	99
32.11	35
32.50	100
33.30	51
37.12	49
37.89	22
39.88	85
43.55	26
46.01	66
62.51	28

```
data_Y10Ga3Co7
_chemical_formula_sum 'Y20 Ga6 Co14'
_symmetry_space_group_name_H-M 'P 1'
_symmetry_Int_Tables_number 1
_cell_length_a 3.9452
_cell_length_b 9.5501
_cell_length_c 23.0798
_cell_angle_alpha 90.00
_cell_angle_beta 90.00
_cell_angle_gamma 90.00
loop_
_symmetry_equiv_pos_as_xyz
'x,y,z'
loop_
_atom_site_label
_atom_site_type_symbol
_atom_site_fract_x
_atom_site_fract_y
_atom_site_fract_z
Y1 Y 0.0000 0.0031 0.0000
Y2 Y 0.0000 0.1596 0.6402
Y3 Y 0.0000 0.1908 0.3548
Y4 Y 0.0000 0.3681 0.5083
Y5 Y 0.0000 0.3997 0.1764
Y6 Y 0.0000 0.6003 0.6764
Y7 Y 0.0000 0.6319 0.0083
Y8 Y 0.0000 0.8092 0.8548
Y9 Y 0.0000 0.8404 0.1402
Y10 Y 0.0000 0.9969 0.5000
Y11 Y 0.5000 0.1040 0.2166
Y12 Y 0.5000 0.1295 0.8797
Y13 Y 0.5000 0.3027 0.0514
Y14 Y 0.5000 0.3405 0.7517
Y15 Y 0.5000 0.4891 0.3901
Y16 Y 0.5000 0.5109 0.8901
Y17 Y 0.5000 0.6595 0.2517
Y18 Y 0.5000 0.6973 0.5514
Y19 Y 0.5000 0.8705 0.3797
Y20 Y 0.5000 0.8960 0.7166
Ga1 Ga 0.0000 0.0974 0.7779
Ga2 Ga 0.0000 0.3142 0.9513
Ga3 Ga 0.0000 0.6858 0.4513
Ga4 Ga 0.0000 0.9026 0.2779
Ga5 Ga 0.5000 0.4011 0.6132
Ga6 Ga 0.5000 0.5989 0.1132
Co1 Co 0.0000 0.1368 0.1189
Co2 Co 0.0000 0.3176 0.8416
Co3 Co 0.0000 0.4580 0.2978
Co4 Co 0.0000 0.5420 0.7978
Co5 Co 0.0000 0.6824 0.3416
Co6 Co 0.0000 0.8632 0.6189
Co7 Co 0.5000 0.0352 0.0958
Co8 Co 0.5000 0.1823 0.5486
Co9 Co 0.5000 0.1905 0.4476
Co10 Co 0.5000 0.3639 0.2766
Co11 Co 0.5000 0.6361 0.7766
Co12 Co 0.5000 0.8095 0.9476
Co13 Co 0.5000 0.8177 0.0486
Co14 Co 0.5000 0.9648 0.5958
```

# 2
# NaZn2HSe2O7
Computed powder X-ray diffraction pattern, Cu Kα (λ = 1.5418 Å). Input: a crystal structure in the Materials Project, relaxed with PBE.
Peak positions follow from Bragg's law for the DFT cell and can differ from measured ones.

Most intense lines, 15° ≤ 2θ ≤ 90°, in order of rising 2θ:
2theta	I (rel.)
17.77	57
22.11	61
24.78	53
26.33	54
28.34	48
31.53	59
31.89	100
32.38	53
34.93	53
36.80	48

```
data_NaZn2HSe2O7
_chemical_formula_sum 'Na4 Zn8 H4 Se8 O28'
_symmetry_space_group_name_H-M 'P 1'
_symmetry_Int_Tables_number 1
_cell_length_a 13.5715
_cell_length_b 6.1770
_cell_length_c 8.4721
_cell_angle_alpha 90.00
_cell_angle_beta 90.00
_cell_angle_gamma 90.00
loop_
_symmetry_equiv_pos_as_xyz
'x,y,z'
loop_
_atom_site_label
_atom_site_type_symbol
_atom_site_fract_x
_atom_site_fract_y
_atom_site_fract_z
Na1 Na 0.2497 0.2500 0.1280
Na2 Na 0.2503 0.7500 0.6280
Na3 Na 0.7497 0.2500 0.3720
Na4 Na 0.7503 0.7500 0.8720
Zn1 Zn 0.0000 0.0000 0.0000
Zn2 Zn 0.0000 0.5000 0.0000
Zn3 Zn 0.1128 0.7500 0.2899
Zn4 Zn 0.3872 0.2500 0.7899
Zn5 Zn 0.5000 0.0000 0.5000
Zn6 Zn 0.5000 0.5000 0.5000
Zn7 Zn 0.6128 0.7500 0.2101
Zn8 Zn 0.8872 0.2500 0.7101
H1 H 0.1544 0.7500 0.9776
H2 H 0.3456 0.2500 0.4776
H3 H 0.6544 0.7500 0.5224
H4 H 0.8456 0.2500 0.0224
Se1 Se 0.0265 0.2500 0.3833
Se2 Se 0.1705 0.2500 0.7743
Se3 Se 0.3295 0.7500 0.2743
Se4 Se 0.4735 0.7500 0.8833
Se5 Se 0.5265 0.2500 0.1167
Se6 Se 0.6705 0.2500 0.7257
Se7 Se 0.8295 0.7500 0.2257
Se8 Se 0.9735 0.7500 0.6167
O1 O 0.0182 0.0311 0.2546
O2 O 0.0182 0.4689 0.2546
O3 O 0.0892 0.7500 0.5319
O4 O 0.0949 0.7500 0.0415
O5 O 0.1101 0.2500 0.9584
O6 O 0.2459 0.5419 0.3012
O7 O 0.2459 0.9581 0.3012
O8 O 0.2541 0.0419 0.8012
O9 O 0.2541 0.4581 0.8012
O10 O 0.3899 0.7500 0.4584
O11 O 0.4051 0.2500 0.5415
O12 O 0.4108 0.2500 0.0319
O13 O 0.4818 0.5311 0.7546
O14 O 0.4818 0.9689 0.7546
O15 O 0.5182 0.0311 0.2454
O16 O 0.5182 0.4689 0.2454
O17 O 0.5892 0.7500 0.9681
O18 O 0.5949 0.7500 0.4585
O19 O 0.6101 0.2500 0.5416
O20 O 0.7459 0.5419 0.1988
O21 O 0.7459 0.9581 0.1988
O22 O 0.7541 0.0419 0.6988
O23 O 0.7541 0.4581 0.6988
O24 O 0.8899 0.7500 0.0415
O25 O 0.9051 0.2500 0.9585
O26 O 0.9108 0.2500 0.4681
O27 O 0.9818 0.5311 0.7454
O28 O 0.9818 0.9689 0.7454
```

# 3
# BaNaPrSbO6
Computed powder X-ray diffraction pattern, Cu Kα (λ = 1.5418 Å). Input: a crystal structure in the Materials Project, relaxed with PBE.
Peak positions follow from Bragg's law for the DFT cell and can differ from measured ones.

Most intense lines, 15° ≤ 2θ ≤ 90°, in order of rising 2θ:
2theta	I (rel.)
20.47	16
29.11	51
29.22	100
41.64	31
41.97	16
51.67	43
51.88	21
60.60	19
68.41	19
83.40	11

```
data_BaNaPrSbO6
_chemical_formula_sum 'Ba4 Na4 Pr4 Sb4 O24'
_symmetry_space_group_name_H-M 'P 1'
_symmetry_Int_Tables_number 1
_cell_length_a 8.6116
_cell_length_b 8.6767
_cell_length_c 8.6769
_cell_angle_alpha 90.00
_cell_angle_beta 90.00
_cell_angle_gamma 90.00
loop_
_symmetry_equiv_pos_as_xyz
'x,y,z'
loop_
_atom_site_label
_atom_site_type_symbol
_atom_site_fract_x
_atom_site_fract_y
_atom_site_fract_z
Ba1 Ba 0.2500 0.2500 0.2500
Ba2 Ba 0.2500 0.7500 0.2500
Ba3 Ba 0.7500 0.2500 0.7500
Ba4 Ba 0.7500 0.7500 0.7500
Na1 Na 0.2500 0.2500 0.7500
Na2 Na 0.2500 0.7500 0.7500
Na3 Na 0.7500 0.2500 0.2500
Na4 Na 0.7500 0.7500 0.2500
Pr1 Pr 0.0000 0.0000 0.0000
Pr2 Pr 0.0000 0.5000 0.5000
Pr3 Pr 0.5000 0.0000 0.5000
Pr4 Pr 0.5000 0.5000 0.0000
Sb1 Sb 0.0000 0.0000 0.5000
Sb2 Sb 0.0000 0.5000 0.0000
Sb3 Sb 0.5000 0.0000 0.0000
Sb4 Sb 0.5000 0.5000 0.5000
O1 O 0.0171 0.0289 0.7292
O2 O 0.0171 0.4711 0.7708
O3 O 0.0262 0.7293 0.9740
O4 O 0.0262 0.7707 0.5260
O5 O 0.2299 0.0208 0.4691
O6 O 0.2299 0.4792 0.0309
O7 O 0.2701 0.0208 0.0309
O8 O 0.2701 0.4792 0.4691
O9 O 0.4738 0.7293 0.5260
O10 O 0.4738 0.7707 0.9740
O11 O 0.4829 0.0289 0.7708
O12 O 0.4829 0.4711 0.7292
O13 O 0.5171 0.5289 0.2708
O14 O 0.5171 0.9711 0.2292
O15 O 0.5262 0.2293 0.0260
O16 O 0.5262 0.2707 0.4740
O17 O 0.7299 0.5208 0.5309
O18 O 0.7299 0.9792 0.9691
O19 O 0.7701 0.5208 0.9691
O20 O 0.7701 0.9792 0.5309
O21 O 0.9738 0.2293 0.4740
O22 O 0.9738 0.2707 0.0260
O23 O 0.9829 0.5289 0.2292
O24 O 0.9829 0.9711 0.2708
```

# 4
# LiNbP4O12
Computed powder X-ray diffraction pattern, Cu Kα (λ = 1.5418 Å). Input: a crystal structure in the Materials Project, relaxed with PBE.
Peak positions follow from Bragg's law for the DFT cell and can differ from measured ones.

Most intense lines, 15° ≤ 2θ ≤ 90°, in order of rising 2θ:
2theta	I (rel.)
18.76	55
19.63	25
24.27	52
27.97	17
28.73	100
29.86	30
33.50	20
36.25	22
39.72	23
41.54	19

```
data_LiNbP4O12
_chemical_formula_sum 'Li2 Nb2 P8 O24'
_symmetry_space_group_name_H-M 'P 1'
_symmetry_Int_Tables_number 1
_cell_length_a 7.4691
_cell_length_b 7.4691
_cell_length_c 10.3584
_cell_angle_alpha 113.54
_cell_angle_beta 113.54
_cell_angle_gamma 69.84
loop_
_symmetry_equiv_pos_as_xyz
'x,y,z'
loop_
_atom_site_label
_atom_site_type_symbol
_atom_site_fract_x
_atom_site_fract_y
_atom_site_fract_z
Li1 Li 0.0246 0.9754 0.7500
Li2 Li 0.9754 0.0246 0.2500
Nb1 Nb 0.0000 0.5000 0.5000
Nb2 Nb 0.5000 0.0000 0.0000
P1 P 0.2571 0.7271 0.0257
P2 P 0.2729 0.7429 0.4743
P3 P 0.3040 0.3169 0.8064
P4 P 0.3169 0.3040 0.3064
P5 P 0.6831 0.6960 0.6936
P6 P 0.6960 0.6831 0.1936
P7 P 0.7271 0.2571 0.5257
P8 P 0.7429 0.2729 0.9743
O1 O 0.0939 0.8394 0.0914
O2 O 0.1309 0.2858 0.3208
O3 O 0.1606 0.9061 0.4086
O4 O 0.1920 0.7000 0.5715
O5 O 0.2002 0.3522 0.6584
O6 O 0.2248 0.5025 0.9322
O7 O 0.2858 0.1309 0.8208
O8 O 0.3000 0.8080 0.9285
O9 O 0.3172 0.5339 0.3452
O10 O 0.3522 0.2002 0.1584
O11 O 0.4661 0.6828 0.1548
O12 O 0.4975 0.7752 0.5678
O13 O 0.5025 0.2248 0.4322
O14 O 0.5339 0.3172 0.8452
O15 O 0.6478 0.7998 0.8416
O16 O 0.6828 0.4661 0.6548
O17 O 0.7000 0.1920 0.0715
O18 O 0.7142 0.8691 0.1792
O19 O 0.7752 0.4975 0.0678
O20 O 0.7998 0.6478 0.3416
O21 O 0.8080 0.3000 0.4285
O22 O 0.8394 0.0939 0.5914
O23 O 0.8691 0.7142 0.6792
O24 O 0.9061 0.1606 0.9086
```

# 5
# Gd3YO6
Computed powder X-ray diffraction pattern, Cu Kα (λ = 1.5418 Å). Input: a crystal structure in the Materials Project, relaxed with PBE.
Peak positions follow from Bragg's law for the DFT cell and can differ from measured ones.

Most intense lines, 15° ≤ 2θ ≤ 90°, in order of rising 2θ:
2theta	I (rel.)
23.29	36
26.14	22
28.93	100
29.66	46
31.99	57
41.50	19
42.31	25
47.40	17
49.24	28
51.35	22

```
data_Gd3YO6
_chemical_formula_sum 'Gd6 Y2 O12'
_symmetry_space_group_name_H-M 'P 1'
_symmetry_Int_Tables_number 1
_cell_length_a 6.8231
_cell_length_b 6.8231
_cell_length_c 6.8231
_cell_angle_alpha 91.71
_cell_angle_beta 91.71
_cell_angle_gamma 91.71
loop_
_symmetry_equiv_pos_as_xyz
'x,y,z'
loop_
_atom_site_label
_atom_site_type_symbol
_atom_site_fract_x
_atom_site_fract_y
_atom_site_fract_z
Gd1 Gd 0.0565 0.7519 0.5628
Gd2 Gd 0.2481 0.4372 0.9435
Gd3 Gd 0.4372 0.9435 0.2481
Gd4 Gd 0.5628 0.0565 0.7519
Gd5 Gd 0.7519 0.5628 0.0565
Gd6 Gd 0.9435 0.2481 0.4372
Y1 Y 0.0000 0.0000 0.0000
Y2 Y 0.5000 0.5000 0.5000
O1 O 0.0315 0.6844 0.9000
O2 O 0.1000 0.9685 0.3156
O3 O 0.1860 0.4312 0.5927
O4 O 0.3156 0.1000 0.9685
O5 O 0.4073 0.8140 0.5688
O6 O 0.4312 0.5927 0.1860
O7 O 0.5688 0.4073 0.8140
O8 O 0.5927 0.1860 0.4312
O9 O 0.6844 0.9000 0.0315
O10 O 0.8140 0.5688 0.4073
O11 O 0.9000 0.0315 0.6844
O12 O 0.9685 0.3156 0.1000
```